Entry 1:
Pr2Nd2YEr: theoretical X-ray diffraction stick pattern (copper Kα), based on a cell relaxed with GGA-PBE.

Structural model:
a b c (Å): 7.143 5.748 9.974
angles (deg): 90.00 90.00 90.00
Atoms (fractional coordinates):
Pr 0.000 0.000 0.000
Pr 0.250 0.500 0.176
Pr 0.500 0.000 0.000
Pr 0.750 0.500 0.824
Nd 0.250 0.000 0.331
Nd 0.250 0.500 0.837
Nd 0.750 0.000 0.669
Nd 0.750 0.500 0.163
Y 0.000 0.500 0.500
Y 0.500 0.500 0.500
Er 0.250 0.000 0.659
Er 0.750 0.000 0.341

Peak list (8 most intense, 2θ from 15° to 90°, sorted by position)
- 30.8°, I = 84.5
- 31.1°, I = 100.0
- 40.3°, I = 19.0
- 44.3°, I = 30.8
- 55.1°, I = 32.1
- 55.3°, I = 19.3
- 61.1°, I = 28.9
- 78.7°, I = 13.7


Entry 2:
Pr2NdYEr5: theoretical X-ray diffraction stick pattern (copper Kα), based on a cell relaxed with GGA-PBE.

Structural model:
a b c (Å): 9.952 9.952 9.952
angles (deg): 128.63 128.63 75.61
Atoms (fractional coordinates):
Pr 0.119 0.619 0.738
Pr 0.381 0.119 0.500
Pr 0.619 0.881 0.500
Pr 0.881 0.381 0.262
Nd 0.250 0.750 0.500
Nd 0.750 0.250 0.500
Y 0.250 0.250 0.000
Y 0.750 0.750 0.000
Er 0.000 0.000 0.000
Er 0.070 0.150 0.500
Er 0.150 0.650 0.079
Er 0.350 0.430 0.500
Er 0.430 0.930 0.079
Er 0.500 0.500 0.000
Er 0.570 0.070 0.921
Er 0.650 0.570 0.500
Er 0.850 0.350 0.921
Er 0.930 0.850 0.500

Peak list (8 most intense, 2θ from 15° to 90°, sorted by position)
- 28.7°, I = 54.7
- 29.3°, I = 51.0
- 30.8°, I = 100.0
- 34.8°, I = 16.7
- 38.0°, I = 16.7
- 46.8°, I = 14.2
- 52.9°, I = 21.4
- 55.6°, I = 19.5


Entry 3:
Pr2NdY6Er: theoretical X-ray diffraction stick pattern (copper Kα), based on a cell relaxed with GGA-PBE.

Structural model:
a b c (Å): 8.824 8.824 9.845
angles (deg): 94.96 94.96 117.63
Atoms (fractional coordinates):
Pr 0.194 0.293 0.045
Pr 0.293 0.194 0.545
Pr 0.707 0.806 0.455
Pr 0.806 0.707 0.955
Nd 0.017 0.983 0.250
Nd 0.983 0.017 0.750
Y 0.018 0.573 0.186
Y 0.121 0.740 0.557
Y 0.260 0.879 0.943
Y 0.298 0.509 0.383
Y 0.427 0.982 0.314
Y 0.491 0.702 0.117
Y 0.509 0.298 0.883
Y 0.573 0.018 0.686
Y 0.702 0.491 0.617
Y 0.740 0.121 0.057
Y 0.879 0.260 0.443
Y 0.982 0.427 0.814
Er 0.407 0.593 0.750
Er 0.593 0.407 0.250

Peak list (8 most intense, 2θ from 15° to 90°, sorted by position)
- 27.3°, I = 29.0
- 28.5°, I = 44.0
- 30.0°, I = 53.9
- 30.2°, I = 55.3
- 31.3°, I = 100.0
- 31.6°, I = 78.0
- 32.1°, I = 23.6
- 33.0°, I = 64.0


Entry 4:
PrNd6Y2Er: theoretical X-ray diffraction stick pattern (copper Kα), based on a cell relaxed with GGA-PBE.

Structural model:
a b c (Å): 8.988 8.988 9.603
angles (deg): 93.01 93.01 116.17
Atoms (fractional coordinates):
Pr 0.035 0.965 0.750
Pr 0.965 0.035 0.250
Nd 0.003 0.557 0.685
Nd 0.113 0.762 0.058
Nd 0.238 0.887 0.442
Nd 0.294 0.523 0.885
Nd 0.443 0.997 0.815
Nd 0.477 0.706 0.615
Nd 0.523 0.294 0.385
Nd 0.557 0.003 0.185
Nd 0.706 0.477 0.115
Nd 0.762 0.113 0.558
Nd 0.887 0.238 0.942
Nd 0.997 0.443 0.315
Y 0.205 0.299 0.552
Y 0.299 0.205 0.052
Y 0.701 0.795 0.948
Y 0.795 0.701 0.448
Er 0.412 0.588 0.250
Er 0.588 0.412 0.750

Peak list (8 most intense, 2θ from 15° to 90°, sorted by position)
- 27.9°, I = 76.8
- 29.5°, I = 100.0
- 30.2°, I = 96.6
- 30.4°, I = 95.2
- 30.8°, I = 69.3
- 31.0°, I = 80.4
- 33.8°, I = 58.8
- 34.4°, I = 40.8


Entry 5:
Nd2ErPt: theoretical X-ray diffraction stick pattern (copper Kα), based on a cell relaxed with GGA-PBE.

Structural model:
a b c (Å): 7.144 10.008 6.570
angles (deg): 90.00 90.00 90.00
Atoms (fractional coordinates):
Nd 0.183 0.061 0.177
Nd 0.183 0.439 0.177
Nd 0.317 0.561 0.677
Nd 0.317 0.939 0.677
Nd 0.683 0.061 0.323
Nd 0.683 0.439 0.323
Nd 0.817 0.561 0.823
Nd 0.817 0.939 0.823
Er 0.033 0.250 0.645
Er 0.467 0.750 0.145
Er 0.533 0.250 0.855
Er 0.967 0.750 0.355
Pt 0.115 0.750 0.955
Pt 0.385 0.250 0.455
Pt 0.615 0.750 0.545
Pt 0.885 0.250 0.045

Peak list (8 most intense, 2θ from 15° to 90°, sorted by position)
- 29.8°, I = 43.2
- 30.0°, I = 66.7
- 30.8°, I = 62.0
- 31.3°, I = 86.6
- 32.6°, I = 100.0
- 33.7°, I = 59.1
- 47.0°, I = 43.0
- 55.0°, I = 45.9


Entry 6:
Nd3Er4Pu: theoretical X-ray diffraction stick pattern (copper Kα), based on a cell relaxed with GGA-PBE.

Structural model:
a b c (Å): 8.845 8.845 8.845
angles (deg): 157.61 97.89 86.45
Atoms (fractional coordinates):
Nd 0.000 0.000 0.000
Nd 0.264 0.764 0.500
Nd 0.736 0.236 0.500
Er 0.120 0.368 0.752
Er 0.385 0.632 0.752
Er 0.615 0.368 0.248
Er 0.880 0.632 0.248
Pu 0.500 0.500 0.000

Peak list (8 most intense, 2θ from 15° to 90°, sorted by position)
- 26.9°, I = 23.4
- 30.5°, I = 57.8
- 30.8°, I = 56.7
- 31.8°, I = 100.0
- 36.9°, I = 38.4
- 37.7°, I = 33.2
- 55.3°, I = 20.9
- 63.4°, I = 27.9


Entry 7:
Nd12Er7Pu: theoretical X-ray diffraction stick pattern (copper Kα), based on a cell relaxed with GGA-PBE.

Structural model:
a b c (Å): 11.484 11.484 11.484
angles (deg): 116.84 116.84 116.84
Atoms (fractional coordinates):
Nd 0.000 0.413 0.587
Nd 0.000 0.587 0.413
Nd 0.070 0.423 0.071
Nd 0.071 0.070 0.423
Nd 0.413 0.000 0.587
Nd 0.413 0.587 0.000
Nd 0.423 0.071 0.070
Nd 0.577 0.929 0.930
Nd 0.587 0.000 0.413
Nd 0.587 0.413 0.000
Nd 0.929 0.930 0.577
Nd 0.930 0.577 0.929
Er 0.000 0.000 0.000
Er 0.145 0.385 0.386
Er 0.385 0.386 0.145
Er 0.386 0.145 0.385
Er 0.614 0.855 0.615
Er 0.615 0.614 0.855
Er 0.855 0.615 0.614
Pu 0.500 0.500 0.500

Peak list (8 most intense, 2θ from 15° to 90°, sorted by position)
- 27.3°, I = 47.2
- 30.1°, I = 100.0
- 30.7°, I = 54.9
- 32.8°, I = 58.8
- 33.0°, I = 54.2
- 34.7°, I = 38.6
- 39.4°, I = 44.4
- 47.7°, I = 32.6


Entry 8:
NdEr3Rh2: theoretical X-ray diffraction stick pattern (copper Kα), based on a cell relaxed with GGA-PBE.

Structural model:
a b c (Å): 8.318 8.318 10.668
angles (deg): 114.78 114.78 29.68
Atoms (fractional coordinates):
Nd 0.056 0.056 0.211
Nd 0.944 0.944 0.789
Er 0.213 0.213 0.595
Er 0.331 0.331 0.974
Er 0.426 0.426 0.333
Er 0.574 0.574 0.667
Er 0.669 0.669 0.026
Er 0.787 0.787 0.405
Rh 0.139 0.139 0.843
Rh 0.381 0.381 0.577
Rh 0.619 0.619 0.423
Rh 0.861 0.861 0.157

Peak list (8 most intense, 2θ from 15° to 90°, sorted by position)
- 26.3°, I = 23.5
- 26.8°, I = 69.3
- 33.4°, I = 100.0
- 33.5°, I = 46.2
- 34.7°, I = 19.2
- 42.0°, I = 54.0
- 42.4°, I = 41.3
- 55.1°, I = 26.2


What did the second record say?
Pr2NdYEr5: theoretical X-ray diffraction stick pattern (copper Kα), based on a cell relaxed with GGA-PBE.

Structural model:
a b c (Å): 9.952 9.952 9.952
angles (deg): 128.63 128.63 75.61
Atoms (fractional coordinates):
Pr 0.119 0.619 0.738
Pr 0.381 0.119 0.500
Pr 0.619 0.881 0.500
Pr 0.881 0.381 0.262
Nd 0.250 0.750 0.500
Nd 0.750 0.250 0.500
Y 0.250 0.250 0.000
Y 0.750 0.750 0.000
Er 0.000 0.000 0.000
Er 0.070 0.150 0.500
Er 0.150 0.650 0.079
Er 0.350 0.430 0.500
Er 0.430 0.930 0.079
Er 0.500 0.500 0.000
Er 0.570 0.070 0.921
Er 0.650 0.570 0.500
Er 0.850 0.350 0.921
Er 0.930 0.850 0.500

Peak list (8 most intense, 2θ from 15° to 90°, sorted by position)
- 28.7°, I = 54.7
- 29.3°, I = 51.0
- 30.8°, I = 100.0
- 34.8°, I = 16.7
- 38.0°, I = 16.7
- 46.8°, I = 14.2
- 52.9°, I = 21.4
- 55.6°, I = 19.5